Calculated PXRD pattern of PrNd12Ho6 for Cu Ka, from a DFT-relaxed cell (GGA-PBE, Alexandria).
Kinematic intensities with the Lorentz-polarization factor, no thermal factor.

Largest 10 diffraction maxima, in order of rising 2θ, 2θ from 10° to 90°:
d 3.142, 28.41 deg, I = 26; d 3.066, 29.12 deg, I = 51; d 2.888, 30.96 deg, I = 57; d 2.868, 31.19 deg, I = 71; d 2.848, 31.41 deg, I = 100; d 2.655, 33.76 deg, I = 36; d 2.640, 33.96 deg, I = 32; d 2.624, 34.17 deg, I = 34; d 1.687, 54.37 deg, I = 24; d 1.644, 55.91 deg, I = 28

Structure:
a b c (Å): 13.4988 13.4988 12.7094
angles (deg): 90.00 90.00 120.00
Space group R-3m (No. 166, hexagonal axes)
Asymmetric unit:
Pr  0.0000  0.0000  0.0000
Nd  0.0000  0.2585  0.5000
Nd  0.0905  0.1811  0.2633
Ho  0.0422  0.5211  0.6200